Record 1
For Pr7Dy2Er2, a PBE-relaxed structure gives the calculated XRD peak list in this record (Cu Kα, 1.54184 Å).
Peak positions follow from Bragg's law for the DFT cell and can differ from measured ones.

Crystal structure
```
11
Lattice="5.763 -5.796 0.000 5.763 5.796 0.000 -2.294 0.000 5.720" Properties=species:S:1:pos:R:3 pbc="T T T"
Pr 0.000 0.000 0.000
Pr 1.782 3.107 4.680
Pr 7.451 3.107 1.040
Pr 4.447 0.000 1.147
Pr 4.786 0.000 4.573
Pr 1.782 -3.107 4.680
Pr 7.451 -3.107 1.040
Dy 1.258 0.000 3.371
Dy 7.976 0.000 2.349
Er 4.617 3.310 2.860
Er 4.617 -3.310 2.860
```

Peak list (10 most intense, 15° ≤ 2θ ≤ 90°, in order of rising 2θ)
Position (°2θ)  d_spacing  intensity
25.2  3.532  211
29.4  3.035  124
30.2  2.960  305
30.8  2.899  518
30.9  2.891  1000
31.2  2.867  267
33.3  2.689  362
33.5  2.676  393
44.5  2.038  145
49.3  1.848  152

Record 2
For PrDy2Er4, a PBE-relaxed structure gives the calculated XRD peak list in this record (Cu Kα, 1.54184 Å).
Peak positions follow from Bragg's law for the DFT cell and can differ from measured ones.

Crystal structure
```
14
Lattice="6.067 0.000 0.000 0.000 6.552 0.000 -2.788 0.000 11.144" Properties=species:S:1:pos:R:3 pbc="T T T"
Pr -0.742 1.638 4.068
Pr 4.021 4.914 7.076
Dy -1.704 1.638 10.597
Dy 0.981 4.914 5.686
Dy 2.299 1.638 5.458
Dy 4.984 4.914 0.547
Er -0.975 1.638 7.427
Er -0.855 4.914 10.273
Er 1.512 3.331 2.342
Er 1.512 6.496 2.342
Er 1.767 0.055 8.802
Er 1.767 3.220 8.802
Er 4.134 1.638 0.871
Er 4.255 4.914 3.717
```

Peak list (10 most intense, 15° ≤ 2θ ≤ 90°, in order of rising 2θ)
Position (°2θ)  d_spacing  intensity
28.6  3.124  414
29.5  3.033  613
31.3  2.858  567
31.4  2.845  1000
31.7  2.824  663
32.0  2.794  901
33.2  2.697  558
33.4  2.685  692
33.5  2.678  550
33.7  2.660  360